# CoH2SeO4
Calculated X-ray diffraction stick pattern, λ = 1.5418 Å (Cu Kα). Input: the GGA+U geometry in OQMD.
Kinematic intensities with the Lorentz-polarization factor, no thermal factor.

a b c (Å): 4.759 12.381 7.229
angles (deg): 90.00 129.24 90.00
Space group P2_1/c (No. 14)
One atom of each set of equivalent atoms:
Co (0.204, 0.232, 0.382) (multiplicity 4)
H (0.273, 0.603, 0.947) (multiplicity 4)
H (0.422, 0.628, 0.211) (multiplicity 4)
Se (0.383, 0.590, 0.615) (multiplicity 4)
O (0.047, 0.621, 0.626) (multiplicity 4)
O (0.251, 0.171, 0.659) (multiplicity 4)
O (0.297, 0.671, 0.382) (multiplicity 4)
O (0.497, 0.606, 0.115) (multiplicity 4)

Principal peaks in the range 10 to 90 degrees two-theta, in order of rising 2θ:
2theta  I_rel
14.31  49
17.38  69
21.40  37
23.59  100
28.88  70
32.57  99
32.80  70
33.20  57
38.52  47
43.91  43
51.77  25
62.07  25

***

# Co2H2SeO5
Calculated X-ray diffraction stick pattern, λ = 1.5418 Å (Cu Kα). Input: the GGA+U geometry in OQMD.
Kinematic intensities with the Lorentz-polarization factor, no thermal factor.

a b c (Å): 7.564 5.539 12.310
angles (deg): 90.00 122.75 90.00
Space group P2_1/c (No. 14)
One atom of each set of equivalent atoms:
Co (0.106, 0.128, 0.252) (multiplicity 4)
Co (0.282, 0.579, 0.515) (multiplicity 4)
H (0.013, 0.727, 0.606) (multiplicity 4)
H (0.133, 0.561, 0.936) (multiplicity 4)
Se (0.389, 0.084, 0.690) (multiplicity 4)
O (0.085, 0.144, 0.876) (multiplicity 4)
O (0.166, 0.647, 0.880) (multiplicity 4)
O (0.214, 0.647, 0.109) (multiplicity 4)
O (0.225, 0.164, 0.137) (multiplicity 4)
O (0.417, 0.073, 0.841) (multiplicity 4)

Principal peaks in the range 10 to 90 degrees two-theta, in order of rising 2θ:
2theta  I_rel
17.13  31
18.16  16
22.09  33
23.61  84
29.34  23
30.54  100
31.95  36
34.50  41
37.47  52
41.21  16
48.91  18
50.50  23

***

# Co3Si2H4O9
Calculated X-ray diffraction stick pattern, λ = 1.5418 Å (Cu Kα). Input: the GGA+U geometry in OQMD.
Kinematic intensities with the Lorentz-polarization factor, no thermal factor.

a b c (Å): 5.2872 5.2872 7.1667
angles (deg): 90.00 90.00 120.00
Space group P31m (No. 157)
One atom of each set of equivalent atoms:
Co (0.0000, 0.3327, 0.0000) (multiplicity 3)
Si (0.3333, 0.6667, 0.6103) (multiplicity 2)
H (0.0000, 0.0000, 0.7074) (multiplicity 1)
H (0.0000, 0.6525, 0.2783) (multiplicity 3)
O (0.0000, 0.0000, 0.8427) (multiplicity 1)
O (0.0000, 0.5245, 0.5234) (multiplicity 3)
O (0.0000, 0.6626, 0.1426) (multiplicity 3)
O (0.3333, 0.6667, 0.8329) (multiplicity 2)

Principal peaks in the range 10 to 90 degrees two-theta, in order of rising 2θ:
2theta  I_rel
12.35  100
19.39  10
23.05  12
24.85  40
33.91  13
36.22  81
42.49  48
51.56  31
60.68  19
62.19  14
62.64  21
72.75  12

***

Copy entry 3 word for word.
# Co3Si2H4O9
Calculated X-ray diffraction stick pattern, λ = 1.5418 Å (Cu Kα). Input: the GGA+U geometry in OQMD.
Kinematic intensities with the Lorentz-polarization factor, no thermal factor.

a b c (Å): 5.2872 5.2872 7.1667
angles (deg): 90.00 90.00 120.00
Space group P31m (No. 157)
One atom of each set of equivalent atoms:
Co (0.0000, 0.3327, 0.0000) (multiplicity 3)
Si (0.3333, 0.6667, 0.6103) (multiplicity 2)
H (0.0000, 0.0000, 0.7074) (multiplicity 1)
H (0.0000, 0.6525, 0.2783) (multiplicity 3)
O (0.0000, 0.0000, 0.8427) (multiplicity 1)
O (0.0000, 0.5245, 0.5234) (multiplicity 3)
O (0.0000, 0.6626, 0.1426) (multiplicity 3)
O (0.3333, 0.6667, 0.8329) (multiplicity 2)

Principal peaks in the range 10 to 90 degrees two-theta, in order of rising 2θ:
2theta  I_rel
12.35  100
19.39  10
23.05  12
24.85  40
33.91  13
36.22  81
42.49  48
51.56  31
60.68  19
62.19  14
62.64  21
72.75  12